Computed powder diffraction line list of LiAgTe2PbSe for a wavelength of 1.5418 Å, from DFT lattice parameters and positions (PBE).
Peak positions follow from Bragg's law for the DFT cell and can differ from measured ones.

Principal peaks in the range 2θ from 15° to 90°, by angle:
- 2θ 22.81, I = 45
- 2θ 27.08, I = 43
- 2θ 27.25, I = 56
- 2θ 28.32, I = 41
- 2θ 32.15, I = 100
- 2θ 36.52, I = 37
- 2θ 37.37, I = 29
- 2θ 40.37, I = 49
- 2θ 40.75, I = 29
- 2θ 41.22, I = 35

```
12
Lattice="2.190 -7.491 0.000 2.190 7.491 0.000 0.000 0.000 10.420" Properties=species:S:1:pos:R:3 pbc="T T T"
Li 2.190 4.022 7.815
Li 2.190 -4.022 2.605
Ag 2.190 7.257 7.815
Ag 2.190 -7.257 2.605
Te 2.190 5.212 1.182
Te 2.190 5.212 4.029
Te 2.190 -5.212 6.392
Te 2.190 -5.212 9.239
Pb 2.190 0.000 0.000
Pb 2.190 0.000 5.210
Se 2.190 1.735 2.605
Se 2.190 -1.735 7.815
```

Computed powder diffraction line list of SmI3O9 for a wavelength of 1.5418 Å, from DFT lattice parameters and positions (PBE).
Peak positions follow from Bragg's law for the DFT cell and can differ from measured ones.

Principal peaks in the range 2θ from 15° to 90°, by angle:
- 2θ 20.65, I = 16
- 2θ 21.03, I = 12
- 2θ 25.52, I = 100
- 2θ 27.65, I = 27
- 2θ 31.78, I = 46
- 2θ 33.30, I = 20
- 2θ 41.19, I = 17
- 2θ 48.72, I = 40
- 2θ 50.51, I = 17
- 2θ 52.94, I = 14

```
26
Lattice="9.755 0.000 0.000 -4.878 8.448 0.000 0.000 0.000 4.998" Properties=species:S:1:pos:R:3 pbc="T T T"
Sm 0.000 5.632 0.000
Sm 4.878 2.816 2.499
I -3.144 5.903 2.257
I 1.337 2.774 2.257
I 3.071 0.229 4.756
I 1.807 8.219 2.257
I 3.541 5.674 4.756
I 8.021 2.545 4.756
O -3.361 7.362 1.229
O -1.703 5.079 1.430
O 0.182 1.857 1.229
O -0.478 3.654 3.918
O 1.699 0.770 3.728
O -1.473 7.035 3.918
O 1.331 4.434 1.430
O 2.926 2.242 1.419
O 0.372 7.383 1.430
O 4.505 1.065 3.929
O 1.952 6.207 3.918
O 3.547 4.014 3.929
O 6.351 1.413 1.419
O 3.178 7.678 1.229
O 5.356 4.794 1.419
O 4.695 6.591 3.728
O 6.580 3.369 3.929
O 8.238 1.086 3.728
```

Computed powder diffraction line list of Dy5N7 for a wavelength of 1.5418 Å, from DFT lattice parameters and positions (PBE).
Peak positions follow from Bragg's law for the DFT cell and can differ from measured ones.

Principal peaks in the range 2θ from 15° to 90°, by angle:
- 2θ 27.10, I = 47
- 2θ 29.69, I = 100
- 2θ 30.18, I = 97
- 2θ 30.98, I = 56
- 2θ 32.92, I = 37
- 2θ 34.22, I = 94
- 2θ 35.86, I = 74
- 2θ 36.16, I = 35
- 2θ 62.15, I = 40
- 2θ 64.58, I = 36

```
12
Lattice="6.087 -1.729 0.000 6.087 1.729 0.000 -4.221 0.000 7.819" Properties=species:S:1:pos:R:3 pbc="T T T"
Dy 0.000 0.000 0.000
Dy -0.605 0.000 3.139
Dy 2.847 0.000 1.552
Dy 5.106 0.000 6.267
Dy 8.557 0.000 4.680
N -2.213 0.000 6.815
N 0.562 0.000 5.066
N 1.186 0.000 6.255
N 3.976 0.000 3.909
N 6.766 0.000 1.564
N 7.390 0.000 2.752
N 10.166 0.000 1.003
```